No. 1
Dy2Cu9Ni6: simulated powder diffractogram (λ = 1.5418 Å (Cu Kα)), based on a structure optimized by DFT (GGA-PBE).
Lines closer than 0.1° are merged.

Crystal structure
a b c (Å): 4.8926 4.8926 12.1321
angles (deg): 90.00 90.00 120.00
Space group P6/mmm (No. 191)
Inequivalent atoms, fractional coordinates:
Dy 0.0000 0.0000 0.1739 x2
Cu 0.0000 0.5000 0.0000 x3
Cu 0.0000 0.5000 0.3354 x6
Ni 0.3333 0.6667 0.1676 x4
Ni 0.3333 0.6667 0.5000 x2

Top 10 peaks for 2θ from 10° to 80°, in order of rising 2θ:
2θ (°)  intensity
25.65  17
30.56  34
36.74  24
42.68  35
43.22  100
44.82  31
48.51  20
63.61  19
70.64  22
78.14  17


No. 2
Dy2Cu3Ni2: simulated powder diffractogram (λ = 1.5418 Å (Cu Kα)), based on a structure optimized by DFT (GGA-PBE).
Lines closer than 0.1° are merged.

Crystal structure
a b c (Å): 9.3210 3.9746 6.3028
angles (deg): 90.00 101.14 90.00
Space group C2/m (No. 12)
Inequivalent atoms, fractional coordinates:
Dy 0.1177 0.0000 0.3258 x4
Cu 0.0000 0.5000 0.0000 x2
Cu 0.2015 0.0000 0.8863 x4
Ni 0.0905 0.5000 0.6629 x4

Top 10 peaks for 2θ from 10° to 80°, in order of rising 2θ:
2θ (°)  intensity
29.38  43
36.63  100
37.17  45
37.80  35
42.15  54
43.90  32
44.50  24
45.65  43
65.67  19
66.64  19


No. 3
Dy2Zn12Cu3Ni: simulated powder diffractogram (λ = 1.5418 Å (Cu Kα)), based on a structure optimized by DFT (GGA-PBE).
Lines closer than 0.1° are merged.

Crystal structure
a b c (Å): 5.6805 5.6805 33.3426
angles (deg): 90.00 90.00 120.00
Space group R-3m (No. 166, hexagonal axes)
Inequivalent atoms, fractional coordinates:
Dy 0.0000 0.0000 0.1408 x6
Zn 0.0004 0.5002 0.1121 x18
Zn 0.0273 0.5136 0.6130 x18
Cu 0.0000 0.5000 0.0000 x9
Ni 0.0000 0.0000 0.5000 x3

Top 10 peaks for 2θ from 10° to 80°, in order of rising 2θ:
2θ (°)  intensity
32.50  93
34.76  32
35.50  22
38.15  68
42.16  22
42.68  100
45.84  20
56.72  22
59.59  18
65.76  37


No. 4
Dy2Cu2O5: simulated powder diffractogram (λ = 1.5418 Å (Cu Kα)), based on a structure optimized by DFT (GGA-PBE).
Lines closer than 0.1° are merged.

Crystal structure
a b c (Å): 6.2636 11.2159 7.1836
angles (deg): 90.00 90.00 90.00
Space group Pnma (No. 62)
Inequivalent atoms, fractional coordinates:
Dy 0.2501 0.0216 0.1195 x8
Cu 0.0706 0.2500 0.3465 x4
Cu 0.0886 0.2500 0.8720 x4
O 0.0703 0.0855 0.8565 x8
O 0.0961 0.0880 0.3857 x8
O 0.2446 0.7500 0.6190 x4

Top 10 peaks for 2θ from 10° to 80°, in order of rising 2θ:
2θ (°)  intensity
15.80  43
28.65  35
29.76  25
31.92  36
32.75  54
32.88  100
43.42  24
50.57  35
57.46  23
61.06  27


No. 5
Dy2Cu2O5: simulated powder diffractogram (λ = 1.5418 Å (Cu Kα)), based on a structure optimized by DFT (GGA-PBE).
Lines closer than 0.1° are merged.

Crystal structure
a b c (Å): 12.4883 3.9485 4.8743
angles (deg): 90.00 111.50 90.00
Space group C2/m (No. 12)
Inequivalent atoms, fractional coordinates:
Dy 0.1188 0.0000 0.4030 x4
Cu 0.1018 0.5000 0.9003 x4
O 0.0000 0.5000 0.5000 x2
O 0.0898 0.0000 0.8749 x4
O 0.1905 0.5000 0.3083 x4

Top 10 peaks for 2θ from 10° to 80°, in order of rising 2θ:
2θ (°)  intensity
19.57  26
23.80  20
30.78  67
32.79  83
33.24  100
36.89  38
45.97  33
48.13  27
55.72  26
56.35  24